Record 1
Structure and computed XRD peak list of MnFeSiO4 (a structure optimized by DFT (GGA+U); Cu Kα (λ = 1.5418 Å)).

Most intense lines, 5° ≤ 2θ ≤ 70°, low angle first:
2θ/deg, intensity, hkl
24.4, 60.7, 1 1 1
31.2, 88.0, 3 0 1
33.2, 33.1, 2 2 0
34.4, 65.4, 3 1 1
34.9, 100.0, 1 2 1
50.1, 73.9, 2 2 2
50.6, 22.0, 4 0 2
55.6, 17.5, 5 2 1
58.8, 23.8, 0 4 0
60.2, 24.7, 6 2 0

Atomic structure:
```
data_MnFeSiO4
_chemical_formula_sum 'Mn4 Fe4 Si4 O16'
_cell_length_a 10.586
_cell_length_b 6.278
_cell_length_c 4.933
_cell_angle_alpha 90.00
_cell_angle_beta 90.00
_cell_angle_gamma 90.00
_space_group_name_H-M_alt 'P n m a'
_space_group_IT_number 62
_space_group_name_Hall '-P 2ac 2n'
loop_
_atom_site_label
_atom_site_type_symbol
_atom_site_fract_x
_atom_site_fract_y
_atom_site_fract_z
_atom_site_occupancy
Mn1 Mn 0.000 0.000 0.000 1
Fe1 Fe 0.220 0.250 0.482 1
Si1 Si 0.098 0.750 0.429 1
O1 O 0.046 0.250 0.706 1
O2 O 0.096 0.750 0.761 1
O3 O 0.167 0.540 0.288 1
```



Record 2
Structure and computed XRD peak list of Sr6Mn3FeO14 (a structure optimized by DFT (GGA+U); Cu Kα (λ = 1.5418 Å)).

Most intense lines, 5° ≤ 2θ ≤ 70°, low angle first:
2θ/deg, intensity, hkl
26.4, 7.4, 0 0 6
31.8, 100.0, 1 1 5
32.5, 67.6, 2 0 0
42.3, 24.8, 2 0 6
44.7, 15.5, 0 0 10
46.6, 47.7, 2 2 0
56.3, 14.7, 2 0 10
57.6, 37.1, 3 1 5
66.6, 16.5, 2 2 10
68.0, 15.1, 4 0 0

Atomic structure:
```
data_Sr6Mn3FeO14
_chemical_formula_sum 'Sr12 Mn6 Fe2 O28'
_cell_length_a 5.510
_cell_length_b 5.514
_cell_length_c 20.276
_cell_angle_alpha 90.00
_cell_angle_beta 90.00
_cell_angle_gamma 90.00
_space_group_name_H-M_alt 'A m m 2'
_space_group_IT_number 38
_space_group_name_Hall 'A 2 -2'
loop_
_atom_site_label
_atom_site_type_symbol
_atom_site_fract_x
_atom_site_fract_y
_atom_site_fract_z
_atom_site_occupancy
Sr1 Sr 0.000 0.000 0.000 1
Sr2 Sr 0.000 0.000 0.183 1
Sr3 Sr 0.000 0.000 0.365 1
Sr4 Sr 0.500 0.000 0.500 1
Sr5 Sr 0.500 0.000 0.683 1
Sr6 Sr 0.500 0.000 0.866 1
Mn1 Mn 0.000 0.000 0.585 1
Mn2 Mn 0.000 0.000 0.780 1
Mn3 Mn 0.500 0.000 0.085 1
Fe1 Fe 0.500 0.000 0.280 1
O1 O 0.000 0.000 0.490 1
O2 O 0.000 0.000 0.682 1
O3 O 0.000 0.000 0.876 1
O4 O 0.248 0.248 0.778 1
O5 O 0.250 0.250 0.087 1
O6 O 0.500 0.000 0.182 1
O7 O 0.500 0.000 0.377 1
O8 O 0.500 0.000 0.990 1
```



Record 3
Structure and computed XRD peak list of Sr5MnFe4O10 (a structure optimized by DFT (GGA+U); Cu Kα (λ = 1.5418 Å)).

Most intense lines, 5° ≤ 2θ ≤ 70°, low angle first:
2θ/deg, intensity, hkl
21.9, 5.7, 0 10 0
31.2, 36.9, 2 10 0
33.9, 100.0, 2 0 1
40.7, 10.6, 2 10 1
44.6, 16.6, 4 0 0
44.7, 16.4, 0 20 0
52.5, 9.8, 0 0 2
57.2, 41.8, 4 10 1
62.3, 10.7, 2 10 2
65.0, 9.7, 4 20 0

Atomic structure:
```
data_Sr5MnFe4O10
_chemical_formula_sum 'Sr20 Mn4 Fe16 O40'
_cell_length_a 8.132
_cell_length_b 40.547
_cell_length_c 3.486
_cell_angle_alpha 90.00
_cell_angle_beta 90.00
_cell_angle_gamma 90.00
_space_group_name_H-M_alt 'C m m m'
_space_group_IT_number 65
_space_group_name_Hall '-C 2 2'
loop_
_atom_site_label
_atom_site_type_symbol
_atom_site_fract_x
_atom_site_fract_y
_atom_site_fract_z
_atom_site_occupancy
Sr1 Sr 0.249 0.150 0.000 1
Sr2 Sr 0.250 0.050 0.000 1
Sr3 Sr 0.250 0.250 0.000 1
Mn1 Mn 0.000 0.000 0.500 1
Mn2 Mn 0.000 0.500 0.500 1
Fe1 Fe 0.000 0.100 0.500 1
Fe2 Fe 0.000 0.200 0.500 1
Fe3 Fe 0.000 0.300 0.500 1
Fe4 Fe 0.000 0.400 0.500 1
O1 O 0.000 0.049 0.500 1
O2 O 0.000 0.150 0.500 1
O3 O 0.000 0.250 0.500 1
O4 O 0.000 0.350 0.500 1
O5 O 0.000 0.449 0.500 1
O6 O 0.236 0.000 0.500 1
O7 O 0.247 0.100 0.500 1
O8 O 0.250 0.200 0.500 1
```



Record 4
Structure and computed XRD peak list of Sr5MnFe4O10 (a structure optimized by DFT (GGA+U); Cu Kα (λ = 1.5418 Å)).

Most intense lines, 5° ≤ 2θ ≤ 70°, low angle first:
2θ/deg, intensity, hkl
31.1, 37.0, 0 2 10
33.9, 100.0, 2 2 0
40.7, 10.6, 2 2 10
44.5, 16.7, 0 4 0
44.7, 16.4, 0 0 20
52.5, 9.8, 4 0 0
57.1, 21.0, 2 4 10
57.2, 20.9, 2 2 20
62.3, 10.7, 4 2 10
64.9, 9.8, 0 4 20

Atomic structure:
```
data_Sr5MnFe4O10
_chemical_formula_sum 'Sr40 Mn8 Fe32 O80'
_cell_length_a 6.970
_cell_length_b 8.145
_cell_length_c 40.536
_cell_angle_alpha 90.00
_cell_angle_beta 90.00
_cell_angle_gamma 90.00
_space_group_name_H-M_alt 'F m m 2'
_space_group_IT_number 42
_space_group_name_Hall 'F 2 -2'
loop_
_atom_site_label
_atom_site_type_symbol
_atom_site_fract_x
_atom_site_fract_y
_atom_site_fract_z
_atom_site_occupancy
Sr1 Sr 0.250 0.250 0.000 1
Sr2 Sr 0.250 0.250 0.099 1
Sr3 Sr 0.250 0.250 0.200 1
Sr4 Sr 0.250 0.250 0.300 1
Sr5 Sr 0.250 0.250 0.400 1
Mn1 Mn 0.000 0.000 0.050 1
Mn2 Mn 0.000 0.000 0.550 1
Fe1 Fe 0.000 0.000 0.150 1
Fe2 Fe 0.000 0.000 0.250 1
Fe3 Fe 0.000 0.000 0.350 1
Fe4 Fe 0.000 0.000 0.450 1
Fe5 Fe 0.000 0.000 0.650 1
Fe6 Fe 0.000 0.000 0.750 1
Fe7 Fe 0.000 0.000 0.850 1
Fe8 Fe 0.000 0.000 0.950 1
O1 O 0.000 0.000 0.001 1
O2 O 0.000 0.000 0.099 1
O3 O 0.000 0.000 0.200 1
O4 O 0.000 0.000 0.300 1
O5 O 0.000 0.000 0.400 1
O6 O 0.000 0.000 0.499 1
O7 O 0.000 0.000 0.600 1
O8 O 0.000 0.000 0.699 1
O9 O 0.000 0.000 0.800 1
O10 O 0.000 0.000 0.900 1
O11 O 0.000 0.238 0.050 1
O12 O 0.000 0.247 0.150 1
O13 O 0.000 0.248 0.950 1
O14 O 0.000 0.250 0.250 1
O15 O 0.000 0.250 0.350 1
```



Record 5
Structure and computed XRD peak list of Sr8MnFe7O24 (a structure optimized by DFT (GGA+U); Cu Kα (λ = 1.5418 Å)).

Most intense lines, 5° ≤ 2θ ≤ 70°, low angle first:
2θ/deg, intensity, hkl
22.7, 0.8, 2 0 0
32.4, 100.0, 2 2 0
39.9, 13.3, 2 2 2
46.4, 38.8, 4 0 0
52.3, 0.9, 4 2 0
57.7, 37.7, 4 2 2
67.8, 22.2, 4 4 0

Atomic structure:
```
data_Sr8MnFe7O24
_chemical_formula_sum 'Sr8 Mn1 Fe7 O24'
_cell_length_a 7.823
_cell_length_b 7.823
_cell_length_c 7.823
_cell_angle_alpha 90.00
_cell_angle_beta 90.00
_cell_angle_gamma 90.00
_space_group_name_H-M_alt 'P m -3 m'
_space_group_IT_number 221
_space_group_name_Hall '-P 4 2 3'
loop_
_atom_site_label
_atom_site_type_symbol
_atom_site_fract_x
_atom_site_fract_y
_atom_site_fract_z
_atom_site_occupancy
Sr1 Sr 0.250 0.250 0.250 1
Mn1 Mn 0.000 0.000 0.000 1
Fe1 Fe 0.000 0.000 0.500 1
Fe2 Fe 0.000 0.500 0.500 1
Fe3 Fe 0.500 0.500 0.500 1
O1 O 0.000 0.000 0.247 1
O2 O 0.000 0.251 0.500 1
O3 O 0.249 0.500 0.500 1
```



Copy entry 5 word for word.
Structure and computed XRD peak list of Sr8MnFe7O24 (a structure optimized by DFT (GGA+U); Cu Kα (λ = 1.5418 Å)).

Most intense lines, 5° ≤ 2θ ≤ 70°, low angle first:
2θ/deg, intensity, hkl
22.7, 0.8, 2 0 0
32.4, 100.0, 2 2 0
39.9, 13.3, 2 2 2
46.4, 38.8, 4 0 0
52.3, 0.9, 4 2 0
57.7, 37.7, 4 2 2
67.8, 22.2, 4 4 0

Atomic structure:
```
data_Sr8MnFe7O24
_chemical_formula_sum 'Sr8 Mn1 Fe7 O24'
_cell_length_a 7.823
_cell_length_b 7.823
_cell_length_c 7.823
_cell_angle_alpha 90.00
_cell_angle_beta 90.00
_cell_angle_gamma 90.00
_space_group_name_H-M_alt 'P m -3 m'
_space_group_IT_number 221
_space_group_name_Hall '-P 4 2 3'
loop_
_atom_site_label
_atom_site_type_symbol
_atom_site_fract_x
_atom_site_fract_y
_atom_site_fract_z
_atom_site_occupancy
Sr1 Sr 0.250 0.250 0.250 1
Mn1 Mn 0.000 0.000 0.000 1
Fe1 Fe 0.000 0.000 0.500 1
Fe2 Fe 0.000 0.500 0.500 1
Fe3 Fe 0.500 0.500 0.500 1
O1 O 0.000 0.000 0.247 1
O2 O 0.000 0.251 0.500 1
O3 O 0.249 0.500 0.500 1
```